# Dy3Cd2Hg6
Simulated powder X-ray diffraction pattern, Cu Kα. Input: a structure optimized by DFT (PBE).
Intensities are scaled so that the largest is 100.

Atomic structure:
```
data_Dy3Cd2Hg6
_chemical_formula_sum 'Dy6 Cd4 Hg12'
_cell_length_a 4.215
_cell_length_b 4.215
_cell_length_c 32.712
_cell_angle_alpha 90.00
_cell_angle_beta 90.00
_cell_angle_gamma 90.00
_space_group_name_H-M_alt 'I 4/m m m'
_space_group_IT_number 139
_space_group_name_Hall '-I 4 2'
loop_
_atom_site_label
_atom_site_fract_x
_atom_site_fract_y
_atom_site_fract_z
Dy1 0.000 0.000 0.000
Dy2 0.000 0.000 0.178
Cd1 0.000 0.000 0.362
Hg1 0.000 0.000 0.273
Hg2 0.000 0.500 0.071
```

Most intense lines, 10 to 80 degrees two-theta, by angle:
(hkl), 2theta, Rel. int.
1 1 2, 30.49, 100
1 1 6, 34.29, 81
1 0 11, 37.00, 78
1 1 8, 37.34, 57
2 0 0, 42.92, 78
2 1 11, 57.92, 43
2 2 0, 62.31, 26
1 1 22, 70.82, 32

=====

# Dy3Cd2Hg2
Simulated powder X-ray diffraction pattern, Cu Kα. Input: a structure optimized by DFT (PBE).
Intensities are scaled so that the largest is 100.

Atomic structure:
```
data_Dy3Cd2Hg2
_chemical_formula_sum 'Dy3 Cd2 Hg2'
_cell_length_a 5.154
_cell_length_b 5.159
_cell_length_c 8.174
_cell_angle_alpha 104.40
_cell_angle_beta 94.75
_cell_angle_gamma 118.20
_space_group_name_H-M_alt 'P -1'
_space_group_IT_number 2
_space_group_name_Hall '-P 1'
loop_
_atom_site_label
_atom_site_fract_x
_atom_site_fract_y
_atom_site_fract_z
Dy1 0.000 0.000 0.000
Dy2 0.443 0.838 0.281
Cd1 0.278 0.587 0.864
Hg1 0.148 0.266 0.414
```

Most intense lines, 10 to 80 degrees two-theta, by angle:
(hkl), 2theta, Rel. int.
-1 1 2, 32.43, 54
1 1 -1, 33.85, 52
1 0 2, 34.33, 100
2 -1 0, 34.92, 93
0 2 1, 47.58, 38
0 1 4, 58.68, 19
2 1 1, 60.87, 19
3 0 -1, 61.25, 18

=====

# Dy7Cd2Hg2
Simulated powder X-ray diffraction pattern, Cu Kα. Input: a structure optimized by DFT (PBE).
Intensities are scaled so that the largest is 100.

Atomic structure:
```
data_Dy7Cd2Hg2
_chemical_formula_sum 'Dy14 Cd4 Hg4'
_cell_length_a 7.748
_cell_length_b 11.125
_cell_length_c 7.784
_cell_angle_alpha 90.00
_cell_angle_beta 90.00
_cell_angle_gamma 90.00
_space_group_name_H-M_alt 'C m m m'
_space_group_IT_number 65
_space_group_name_Hall '-C 2 2'
loop_
_atom_site_label
_atom_site_fract_x
_atom_site_fract_y
_atom_site_fract_z
Dy1 0.000 0.000 0.000
Dy2 0.000 0.500 0.261
Dy3 0.250 0.250 0.285
Cd1 0.177 0.000 0.500
Hg1 0.000 0.293 0.000
```

Most intense lines, 10 to 80 degrees two-theta, by angle:
(hkl), 2theta, Rel. int.
2 0 1, 25.69, 56
1 1 2, 26.86, 34
2 2 0, 28.05, 34
0 4 0, 32.18, 56
2 0 2, 32.61, 21
1 3 2, 35.38, 56
2 2 2, 36.49, 100
2 0 5, 64.48, 21

=====

# DyCd6Hg
Simulated powder X-ray diffraction pattern, Cu Kα. Input: a structure optimized by DFT (PBE).
Intensities are scaled so that the largest is 100.

Atomic structure:
```
data_DyCd6Hg
_chemical_formula_sum 'Dy2 Cd12 Hg2'
_cell_length_a 4.762
_cell_length_b 7.815
_cell_length_c 10.115
_cell_angle_alpha 90.00
_cell_angle_beta 90.00
_cell_angle_gamma 90.00
_space_group_name_H-M_alt 'A m m 2'
_space_group_IT_number 38
_space_group_name_Hall 'A 2 -2'
loop_
_atom_site_label
_atom_site_fract_x
_atom_site_fract_y
_atom_site_fract_z
Dy1 0.000 0.000 0.000
Cd1 0.000 0.000 0.405
Cd2 0.000 0.194 0.703
Cd3 0.500 0.000 0.798
Cd4 0.500 0.204 0.500
Hg1 0.500 0.000 0.211
```

Most intense lines, 10 to 80 degrees two-theta, by angle:
(hkl), 2theta, Rel. int.
1 2 2, 34.58, 100
0 0 4, 35.55, 21
2 0 0, 37.78, 20
2 0 4, 52.84, 13
0 3 5, 57.70, 10
3 2 2, 66.16, 15
1 5 3, 69.12, 9
2 3 5, 71.05, 10

=====

# Dy2Cd3Hg
Simulated powder X-ray diffraction pattern, Cu Kα. Input: a structure optimized by DFT (PBE).
Intensities are scaled so that the largest is 100.

Atomic structure:
```
data_Dy2Cd3Hg
_chemical_formula_sum 'Dy2 Cd3 Hg1'
_cell_length_a 3.439
_cell_length_b 4.974
_cell_length_c 8.564
_cell_angle_alpha 90.00
_cell_angle_beta 90.00
_cell_angle_gamma 90.00
_space_group_name_H-M_alt 'P m m 2'
_space_group_IT_number 25
_space_group_name_Hall 'P 2 -2'
loop_
_atom_site_label
_atom_site_fract_x
_atom_site_fract_y
_atom_site_fract_z
Dy1 0.000 0.000 0.000
Dy2 0.000 0.500 0.489
Cd1 0.500 0.000 0.665
Cd2 0.500 0.500 0.158
Cd3 0.500 0.500 0.825
Hg1 0.500 0.000 0.329
```

Most intense lines, 10 to 80 degrees two-theta, by angle:
(hkl), 2theta, Rel. int.
1 1 1, 33.38, 100
0 2 0, 36.12, 28
0 1 3, 36.28, 56
1 2 2, 50.02, 21
1 0 4, 50.19, 10
1 3 1, 63.20, 11
1 2 4, 63.38, 10
2 1 3, 66.16, 19

=====

# DyCd7Hg12
Simulated powder X-ray diffraction pattern, Cu Kα. Input: a structure optimized by DFT (PBE).
Intensities are scaled so that the largest is 100.

Atomic structure:
```
data_DyCd7Hg12
_chemical_formula_sum 'Dy3 Cd21 Hg36'
_cell_length_a 13.7577
_cell_length_b 13.7577
_cell_length_c 9.2613
_cell_angle_alpha 90.00
_cell_angle_beta 90.00
_cell_angle_gamma 120.00
_space_group_name_H-M_alt 'R -3'
_space_group_IT_number 148
_space_group_name_Hall '-R 3'
loop_
_atom_site_label
_atom_site_fract_x
_atom_site_fract_y
_atom_site_fract_z
Dy1 0.0000 0.0000 0.0000
Cd1 0.0000 0.0000 0.5000
Cd2 0.0654 0.4839 0.6199
Hg1 0.0066 0.2460 0.5643
Hg2 0.0302 0.1658 0.2539
```

Most intense lines, 10 to 80 degrees two-theta, by angle:
(hkl), 2theta, Rel. int.
4 0 1, 31.55, 74
1 1 3, 31.77, 82
4 -1 2, 33.31, 76
5 -2 1, 34.20, 100
1 4 0, 34.50, 58
0 4 2, 35.85, 50
2 2 3, 39.22, 49
6 -1 4, 58.74, 36

=====

- What is the formula in the fifth record?
  Dy2Cd3Hg